[1]
Computed X-ray powder pattern
Compound: MnAl4Pb
Radiation: Cu Ka
Structure: DFT lattice parameters and positions (PBE)
Neutral-atom scattering factors, no anomalous dispersion.

Largest 6 diffraction maxima, in order of rising 2θ, 2θ = 10–90°:
d (Å)	2θ/deg	intensity	h k l
4.451	19.95	69	1 1 1
3.855	23.07	30	2 0 0
2.726	32.86	78	2 2 0
2.324	38.74	100	3 1 1
1.574	58.67	30	4 2 2
1.484	62.61	33	5 1 1

Cell and atoms:
Cell: 7.7093 7.7093 7.7093 Å, 90.00 90.00 90.00°
Space group F-43m (No. 216)
Symmetry-distinct sites (fractional):
Mn1 0.0000 0.0000 0.0000
Al1 0.1258 0.1258 0.3742
Pb1 0.2500 0.2500 0.7500

=====

[2]
Computed X-ray powder pattern
Compound: RbBPb
Radiation: Cu Ka
Structure: DFT lattice parameters and positions (PBE)
Neutral-atom scattering factors, no anomalous dispersion.

Largest 6 diffraction maxima, in order of rising 2θ, 2θ = 10–90°:
d (Å)	2θ/deg	intensity	h k l
6.582	13.45	78	0 1 1
3.905	22.77	86	0 4 0
3.629	24.53	82	0 0 2
2.931	30.50	100	1 1 1
2.658	33.71	73	0 4 2
2.589	34.65	70	1 3 1

Cell and atoms:
Cell: 3.2735 15.6217 7.2579 Å, 90.00 90.00 90.00°
Space group Amm2 (No. 38)
Symmetry-distinct sites (fractional):
Rb1 0.0000 0.1474 0.0000
B1 0.2559 0.0000 0.2787
Pb1 0.5000 0.1167 0.5163

=====

[3]
Computed X-ray powder pattern
Compound: NaZn10Pd3
Radiation: Cu Ka
Structure: DFT lattice parameters and positions (PBE)
Neutral-atom scattering factors, no anomalous dispersion.

Largest 6 diffraction maxima, in order of rising 2θ, 2θ = 10–90°:
d (Å)	2θ/deg	intensity	h k l
4.496	19.74	56	2 2 0
2.448	36.72	100	3 3 3
2.248	40.11	64	4 4 0
2.150	42.03	61	5 3 1
2.120	42.66	37	6 0 0
1.917	47.42	54	6 2 2

Cell and atoms:
Cell: 12.7180 12.7180 12.7180 Å, 90.00 90.00 90.00°
Space group Fm-3m (No. 225)
Symmetry-distinct sites (fractional):
Na1 0.2500 0.2500 0.2500
Zn1 0.0000 0.1702 0.1702
Zn2 0.1196 0.1196 0.3804
Pd1 0.0000 0.0000 0.2721

=====

[4]
Computed X-ray powder pattern
Compound: Nb3Sn2
Radiation: Cu Ka
Structure: DFT lattice parameters and positions (PBE)
Neutral-atom scattering factors, no anomalous dispersion.

Largest 6 diffraction maxima, in order of rising 2θ, 2θ = 10–90°:
d (Å)	2θ/deg	intensity	h k l
2.661	33.68	60	2 0 0
2.535	35.41	100	1 0 5
2.496	35.98	32	2 0 2
2.348	38.33	72	2 1 1
2.133	42.38	35	2 1 3
1.668	55.06	26	2 2 4

Cell and atoms:
Cell: 5.3222 5.3222 14.4132 Å, 90.00 90.00 90.00°
Space group I4_1/amd (No. 141, origin choice 2)
Symmetry-distinct sites (fractional):
Nb1 0.0000 0.0000 0.0000
Nb2 0.0000 0.2500 0.3750
Sn1 0.0000 0.2500 0.1812